Record 1
Theoretical PXRD pattern
Compound: SnIBr
Radiation: Cu Kα (λ = 1.5418 Å)
Structure: a crystal structure in the Materials Project, relaxed with GGA-PBE

Structural model:
```
data_SnIBr
_chemical_formula_sum 'Sn4 I4 Br4'
_space_group_name_H-M_alt 'P n m a'
_space_group_IT_number 62
_cell_length_a 8.9169
_cell_length_b 4.4403
_cell_length_c 11.5990
_cell_angle_alpha 90.00
_cell_angle_beta 90.00
_cell_angle_gamma 90.00
loop_
_space_group_symop_operation_xyz
'x,y,z'
'-x,-y,-z'
'-x+1/2,-y,z+1/2'
'x+1/2,y,-z+1/2'
'x+1/2,-y+1/2,-z+1/2'
'-x+1/2,y+1/2,z+1/2'
'-x,y+1/2,-z'
'x,-y+1/2,z'
loop_
_atom_site_label
_atom_site_fract_x
_atom_site_fract_y
_atom_site_fract_z
Sn1 0.1222 0.2500 0.1471
I1 0.0106 0.2500 0.6942
Br1 0.1624 0.7500 0.9573
```

Most intense lines, 10 to 80 degrees two-theta, low angle first:
two_theta	intensity	hkl
12.5	22.5	1 0 1
25.2	34.8	2 0 2
27.2	100.0	1 1 2
29.4	35.8	2 1 1
30.7	28.8	0 1 3
31.1	29.5	3 0 1
32.3	48.2	1 1 3
40.6	26.5	0 2 0
46.2	33.8	4 1 1
48.4	22.4	3 1 4


Record 2
Theoretical PXRD pattern
Compound: SrIBr
Radiation: Cu Kα (λ = 1.5418 Å)
Structure: a crystal structure in the Materials Project, relaxed with GGA-PBE

Structural model:
```
data_SrIBr
_chemical_formula_sum 'Sr4 I4 Br4'
_space_group_name_H-M_alt 'P n m a'
_space_group_IT_number 62
_cell_length_a 8.1691
_cell_length_b 5.1319
_cell_length_c 11.0309
_cell_angle_alpha 90.00
_cell_angle_beta 90.00
_cell_angle_gamma 90.00
loop_
_space_group_symop_operation_xyz
'x,y,z'
'-x,-y,-z'
'-x+1/2,-y,z+1/2'
'x+1/2,y,-z+1/2'
'x+1/2,-y+1/2,-z+1/2'
'-x+1/2,y+1/2,z+1/2'
'-x,y+1/2,-z'
'x,-y+1/2,z'
loop_
_atom_site_label
_atom_site_fract_x
_atom_site_fract_y
_atom_site_fract_z
Sr1 0.2199 0.2500 0.0789
I1 0.1328 0.2500 0.3905
Br1 0.0178 0.7500 0.1372
```

Most intense lines, 10 to 80 degrees two-theta, low angle first:
two_theta	intensity	hkl
23.2	35.3	2 0 1
26.1	100.0	1 1 2
27.9	36.3	2 1 0
29.1	39.3	2 1 1
29.9	37.7	0 1 3
32.5	38.4	0 0 4
32.8	28.4	2 0 3
35.0	45.1	0 2 0
37.3	31.4	2 1 3
38.3	31.7	3 1 1